Record 1
Diffraction record for Ac2Ge2Au. The PXRD pattern is simulated, not measured: it uses a DFT-relaxed cell (GGA-PBE, Alexandria) and Cu Kα.
Neutral-atom scattering factors, no anomalous dispersion.

Cell and atoms:
```
Ac2Ge2Au
1.0
4.2092 0.0000 0.0000
0.0000 2.2544 7.2464
0.0000 -2.2544 7.2464
Ac Ge Au
2 2 1
direct
0.0000 0.0000 0.0000
0.0000 0.2438 0.2438
0.5000 0.6240 0.6240
0.5000 0.8198 0.8198
0.5000 0.4220 0.4220
```

Principal peaks in the range 2θ = 10–90°, low angle first:
| two_theta | d/Å | I (rel.) |
| --- | --- | --- |
| 20.6 | 4.305 | 18 |
| 29.7 | 3.010 | 100 |
| 32.6 | 2.746 | 60 |
| 34.6 | 2.595 | 56 |
| 36.9 | 2.438 | 56 |
| 40.0 | 2.254 | 29 |
| 43.0 | 2.105 | 24 |
| 52.5 | 1.742 | 32 |
| 57.9 | 1.593 | 30 |
| 60.1 | 1.538 | 18 |

=====

Record 2
Diffraction record for Pm3ErMg3. The PXRD pattern is simulated, not measured: it uses a DFT-relaxed cell (GGA-PBE, Alexandria) and Cu Kα.
Neutral-atom scattering factors, no anomalous dispersion.

Cell and atoms:
```
Pm3ErMg3
1.0
3.6739 -5.3802 0.0000
3.6739 5.3802 0.0000
-0.2738 0.0000 10.7006
Pm Er Mg
6 2 6
direct
0.1750 0.8250 0.0000
0.2246 0.7754 0.5000
0.4699 0.4699 0.1730
0.5301 0.5301 0.8270
0.7754 0.2246 0.5000
0.8250 0.1750 0.0000
0.2851 0.2851 0.5092
0.7149 0.7149 0.4908
0.0000 0.0000 0.2599
0.0000 0.0000 0.7401
0.0154 0.4998 0.7486
0.4998 0.0154 0.7486
0.5002 0.9846 0.2514
0.9846 0.5002 0.2514
```

Principal peaks in the range 2θ = 10–90°, low angle first:
| two_theta | d/Å | I (rel.) |
| --- | --- | --- |
| 16.6 | 5.351 | 75 |
| 25.0 | 3.567 | 29 |
| 27.7 | 3.223 | 66 |
| 29.3 | 3.047 | 28 |
| 30.8 | 2.902 | 37 |
| 33.3 | 2.690 | 32 |
| 33.5 | 2.675 | 34 |
| 33.7 | 2.663 | 100 |
| 34.3 | 2.614 | 83 |
| 42.1 | 2.148 | 35 |

=====

Record 3
Diffraction record for Sm5Cu6. The PXRD pattern is simulated, not measured: it uses a DFT-relaxed cell (GGA-PBE, Alexandria) and Cu Kα.
Neutral-atom scattering factors, no anomalous dispersion.

Cell and atoms:
```
Sm5Cu6
1.0
-2.4746 3.5725 7.3661
2.4746 -3.5725 7.3661
2.4746 3.5725 -7.3661
Sm Cu
5 6
direct
0.0000 0.0000 0.0000
0.1778 0.6778 0.5000
0.3628 0.3628 0.0000
0.6372 0.6372 0.0000
0.8222 0.3222 0.5000
0.0257 0.8149 0.2108
0.1954 0.5000 0.6954
0.3959 0.1851 0.2108
0.6041 0.8149 0.7892
0.8046 0.5000 0.3046
0.9743 0.1851 0.7892
```

Principal peaks in the range 2θ = 10–90°, low angle first:
| two_theta | d/Å | I (rel.) |
| --- | --- | --- |
| 25.0 | 3.567 | 18 |
| 32.9 | 2.724 | 23 |
| 36.0 | 2.495 | 100 |
| 36.3 | 2.475 | 31 |
| 36.6 | 2.455 | 18 |
| 43.9 | 2.060 | 15 |
| 49.8 | 1.832 | 13 |
| 52.5 | 1.743 | 13 |
| 65.1 | 1.433 | 17 |
| 67.0 | 1.398 | 14 |

=====

Record 4
Diffraction record for Ho10In3Sb3. The PXRD pattern is simulated, not measured: it uses a DFT-relaxed cell (GGA-PBE, Alexandria) and Cu Kα.
Neutral-atom scattering factors, no anomalous dispersion.

Cell and atoms:
```
Ho10In3Sb3
1.0
8.9221 0.0000 0.0000
-4.4610 7.7268 0.0000
0.0000 0.0000 6.5055
Ho In Sb
10 3 3
direct
0.0000 0.2362 0.0000
0.0000 0.7627 0.5000
0.2362 0.0000 0.0000
0.2373 0.2373 0.5000
0.3333 0.6667 0.2476
0.3333 0.6667 0.7524
0.6667 0.3333 0.2476
0.6667 0.3333 0.7524
0.7627 0.0000 0.5000
0.7638 0.7638 0.0000
0.0000 0.6042 0.0000
0.3958 0.3958 0.0000
0.6042 0.0000 0.0000
0.0000 0.3948 0.5000
0.3948 0.0000 0.5000
0.6052 0.6052 0.5000
```

Principal peaks in the range 2θ = 10–90°, low angle first:
| two_theta | d/Å | I (rel.) |
| --- | --- | --- |
| 27.4 | 3.253 | 15 |
| 29.8 | 2.998 | 22 |
| 30.6 | 2.920 | 35 |
| 33.6 | 2.664 | 100 |
| 34.1 | 2.628 | 74 |
| 34.8 | 2.576 | 35 |
| 49.6 | 1.840 | 20 |
| 52.6 | 1.741 | 28 |
| 55.3 | 1.661 | 15 |
| 67.1 | 1.396 | 18 |